Record 1
GaTe4Mo4Se4: computed PXRD pattern (Cu Ka), based on a DFT-relaxed cell (GGA-PBE, the Materials Project).

Most intense lines, 2θ from 15° to 90°, low angle first:
- 28.7°, intensity 45, (2 2 2)
- 33.2°, intensity 100, (4 0 0)
- 36.3°, intensity 23, (3 3 1)
- 41.0°, intensity 42, (4 2 2)
- 43.6°, intensity 33, (5 1 1)
- 47.7°, intensity 77, (4 4 0)
- 56.6°, intensity 29, (6 2 2)
- 74.7°, intensity 25, (8 2 2)

Cell and atoms:
```
data_GaTe4Mo4Se4
_space_group_name_H-M_alt 'F -4 3 m'
_space_group_IT_number 216
_space_group_name_Hall 'F -4 2 3'
_cell_length_a 10.7783
_cell_length_b 10.7783
_cell_length_c 10.7783
_cell_angle_alpha 90.00
_cell_angle_beta 90.00
_cell_angle_gamma 90.00
loop_
_atom_site_label
_atom_site_type_symbol
_atom_site_fract_x
_atom_site_fract_y
_atom_site_fract_z
_atom_site_occupancy
Ga1 Ga 0.0000 0.0000 0.0000 1
Te1 Te 0.1384 0.1384 0.8616 1
Mo1 Mo 0.0956 0.0956 0.5956 1
Se1 Se 0.1309 0.1309 0.3691 1
```

Record 2
Cr3CdTe4: computed PXRD pattern (Cu Ka), based on a DFT-relaxed cell (GGA-PBE, the Materials Project).

Most intense lines, 2θ from 15° to 90°, low angle first:
- 24.3°, intensity 100, (1 1 1)
- 28.1°, intensity 7, (2 0 0)
- 40.1°, intensity 71, (2 2 0)
- 47.4°, intensity 46, (3 1 1)
- 58.1°, intensity 11, (4 0 0)
- 63.8°, intensity 18, (3 3 1)
- 72.9°, intensity 21, (4 2 2)
- 78.1°, intensity 13, (3 3 3)

Cell and atoms:
```
data_Cr3CdTe4
_space_group_name_H-M_alt 'P -4 3 m'
_space_group_IT_number 215
_space_group_name_Hall 'P -4 2 3'
_cell_length_a 6.3555
_cell_length_b 6.3555
_cell_length_c 6.3555
_cell_angle_alpha 90.00
_cell_angle_beta 90.00
_cell_angle_gamma 90.00
loop_
_atom_site_label
_atom_site_type_symbol
_atom_site_fract_x
_atom_site_fract_y
_atom_site_fract_z
_atom_site_occupancy
Cr1 Cr 0.0000 0.0000 0.5000 1
Cd1 Cd 0.5000 0.5000 0.5000 1
Te1 Te 0.2379 0.2379 0.7621 1
```

Record 3
Sr2DyGaCu2O7: computed PXRD pattern (Cu Ka), based on a DFT-relaxed cell (GGA-PBE, the Materials Project).

Most intense lines, 2θ from 15° to 90°, low angle first:
- 32.4°, intensity 29, (0 2 0)
- 32.8°, intensity 100, (6 1 1)
- 33.1°, intensity 30, (0 0 2)
- 38.9°, intensity 30, (8 1 1)
- 47.0°, intensity 39, (0 2 2)
- 58.1°, intensity 17, (6 3 1)
- 58.9°, intensity 19, (6 1 3)
- 78.2°, intensity 9, (6 3 3)

Cell and atoms:
```
data_Sr2DyGaCu2O7
_space_group_name_H-M_alt 'I m a 2'
_space_group_IT_number 46
_cell_length_a 23.1691
_cell_length_b 5.5184
_cell_length_c 5.4149
_cell_angle_alpha 90.00
_cell_angle_beta 90.00
_cell_angle_gamma 90.00
loop_
_space_group_symop_operation_xyz
'x,y,z'
'-x,-y,z'
'-x+1/2,y,z'
'x+1/2,-y,z'
'x+1/2,y+1/2,z+1/2'
'-x+1/2,-y+1/2,z+1/2'
'-x,y+1/2,z+1/2'
'x,-y+1/2,z+1/2'
loop_
_atom_site_label
_atom_site_type_symbol
_atom_site_fract_x
_atom_site_fract_y
_atom_site_fract_z
_atom_site_occupancy
Sr1 Sr 0.1512 0.0153 0.0000 1
Dy1 Dy 0.0000 0.0000 0.0025 1
Ga1 Ga 0.2500 0.5683 0.9611 1
Cu1 Cu 0.0715 0.5006 0.0026 1
O1 O 0.0611 0.2489 0.2520 1
O2 O 0.0649 0.7495 0.7525 1
O3 O 0.1762 0.0446 0.5258 1
O4 O 0.2500 0.6166 0.6092 1
```

Record 4
Mg16Al12Zn: computed PXRD pattern (Cu Ka), based on a DFT-relaxed cell (GGA-PBE, the Materials Project).

Most intense lines, 2θ from 15° to 90°, low angle first:
- 34.1°, intensity 28, (0 4 2)
- 36.1°, intensity 93, (3 0 3)
- 36.3°, intensity 84, (2 3 2)
- 36.5°, intensity 100, (0 5 1)
- 40.3°, intensity 20, (5 0 2)
- 40.5°, intensity 43, (5 1 1)
- 65.2°, intensity 20, (3 5 4)
- 65.4°, intensity 16, (3 6 3)

Cell and atoms:
```
data_Mg16Al12Zn
_space_group_name_H-M_alt 'R 3 m'
_space_group_IT_number 160
_space_group_name_Hall 'R 3 -2"'
_cell_length_a 14.7755
_cell_length_b 14.7755
_cell_length_c 9.1923
_cell_angle_alpha 90.00
_cell_angle_beta 90.00
_cell_angle_gamma 120.00
loop_
_atom_site_label
_atom_site_type_symbol
_atom_site_fract_x
_atom_site_fract_y
_atom_site_fract_z
_atom_site_occupancy
Mg1 Mg 0.0000 0.0000 0.0000 1
Mg2 Mg 0.0132 0.3058 0.3074 1
Mg3 Mg 0.0674 0.5337 0.2211 1
Mg4 Mg 0.1974 0.0987 0.5114 1
Mg5 Mg 0.2178 0.4356 0.7826 1
Al1 Al 0.0625 0.1251 0.2986 1
Al2 Al 0.0832 0.5416 0.7299 1
Al3 Al 0.1496 0.4823 0.4864 1
Zn1 Zn 0.0000 0.0000 0.6862 1
```

Record 5
AgMo6Se4S4: computed PXRD pattern (Cu Ka), based on a DFT-relaxed cell (GGA-PBE, the Materials Project).

Most intense lines, 2θ from 15° to 90°, low angle first:
- 18.6°, intensity 87, (0 1 -1)
- 29.7°, intensity 51, (0 2 -1)
- 32.6°, intensity 67, (-1 1 2)
- 40.1°, intensity 100, (-2 1 2)
- 40.4°, intensity 53, (2 -2 1)
- 41.6°, intensity 72, (2 1 2)
- 43.1°, intensity 70, (0 3 1)
- 45.0°, intensity 97, (-1 3 1)

Cell and atoms:
```
data_AgMo6Se4S4
_space_group_name_H-M_alt 'P 1'
_space_group_IT_number 1
_cell_length_a 6.6235
_cell_length_b 6.6756
_cell_length_c 6.7048
_cell_angle_alpha 91.03
_cell_angle_beta 91.72
_cell_angle_gamma 91.17
loop_
_space_group_symop_operation_xyz
'x,y,z'
loop_
_atom_site_label
_atom_site_type_symbol
_atom_site_fract_x
_atom_site_fract_y
_atom_site_fract_z
_atom_site_occupancy
Ag1 Ag 0.0000 0.0000 0.0000 1
Mo1 Mo 0.2169 0.4044 0.5599 1
Mo2 Mo 0.4124 0.5521 0.2315 1
Mo3 Mo 0.4442 0.7775 0.5892 1
Mo4 Mo 0.5597 0.2277 0.4148 1
Mo5 Mo 0.5890 0.4431 0.7778 1
Mo6 Mo 0.7872 0.5871 0.4466 1
Se1 Se 0.2188 0.2188 0.2272 1
Se2 Se 0.2524 0.6225 0.8780 1
Se3 Se 0.6276 0.8758 0.2560 1
Se4 Se 0.7807 0.7771 0.7763 1
S1 S 0.1343 0.7196 0.3925 1
S2 S 0.3893 0.1308 0.7233 1
S3 S 0.7265 0.3887 0.1347 1
S4 S 0.8693 0.2745 0.6163 1
```

Record 6
AlTlO3: computed PXRD pattern (Cu Ka), based on a DFT-relaxed cell (GGA-PBE, the Materials Project).

Most intense lines, 2θ from 15° to 90°, low angle first:
- 23.4°, intensity 38, (0 2 0)
- 23.7°, intensity 66, (1 0 1)
- 33.5°, intensity 100, (1 2 1)
- 34.1°, intensity 23, (0 0 2)
- 41.2°, intensity 23, (2 2 0)
- 41.8°, intensity 26, (0 2 2)
- 48.5°, intensity 22, (2 0 2)
- 60.7°, intensity 22, (1 2 3)

Cell and atoms:
```
data_AlTlO3
_space_group_name_H-M_alt 'P n m a'
_space_group_IT_number 62
_cell_length_a 5.3605
_cell_length_b 7.6124
_cell_length_c 5.2513
_cell_angle_alpha 90.00
_cell_angle_beta 90.00
_cell_angle_gamma 90.00
loop_
_space_group_symop_operation_xyz
'x,y,z'
'-x,-y,-z'
'-x+1/2,-y,z+1/2'
'x+1/2,y,-z+1/2'
'x+1/2,-y+1/2,-z+1/2'
'-x+1/2,y+1/2,z+1/2'
'-x,y+1/2,-z'
'x,-y+1/2,z'
loop_
_atom_site_label
_atom_site_type_symbol
_atom_site_fract_x
_atom_site_fract_y
_atom_site_fract_z
_atom_site_occupancy
Al1 Al 0.0000 0.0000 0.0000 1
Tl1 Tl 0.0400 0.2500 0.4869 1
O1 O 0.0334 0.7500 0.0968 1
O2 O 0.2091 0.5513 0.7066 1
```

Record 7
Cr2CdN2: computed PXRD pattern (Cu Ka), based on a DFT-relaxed cell (GGA-PBE, the Materials Project).

Most intense lines, 2θ from 15° to 90°, low angle first:
- 16.6°, intensity 100, (1 1 0)
- 20.4°, intensity 36, (1 1 1)
- 29.0°, intensity 37, (2 1 1)
- 33.7°, intensity 43, (2 2 0)
- 45.0°, intensity 37, (3 2 1)
- 51.5°, intensity 22, (3 3 0)
- 62.9°, intensity 17, (5 1 0)
- 78.2°, intensity 15, (5 3 2)

Cell and atoms:
```
data_Cr2CdN2
_space_group_name_H-M_alt 'P -4 3 m'
_space_group_IT_number 215
_space_group_name_Hall 'P -4 2 3'
_cell_length_a 7.5315
_cell_length_b 7.5315
_cell_length_c 7.5315
_cell_angle_alpha 90.00
_cell_angle_beta 90.00
_cell_angle_gamma 90.00
loop_
_atom_site_label
_atom_site_type_symbol
_atom_site_fract_x
_atom_site_fract_y
_atom_site_fract_z
_atom_site_occupancy
Cr1 Cr 0.2070 0.2070 0.7930 1
Cd1 Cd 0.0000 0.0000 0.0000 1
Cd2 Cd 0.5000 0.5000 0.5000 1
N1 N 0.3295 0.3295 0.6705 1
```

Record 8
Sr2CaI6: computed PXRD pattern (Cu Ka), based on a DFT-relaxed cell (GGA-PBE, the Materials Project).

Most intense lines, 2θ from 15° to 90°, low angle first:
- 25.2°, intensity 60, (1 2 0)
- 25.6°, intensity 100, (1 0 2)
- 25.8°, intensity 68, (1 0 -4)
- 26.0°, intensity 56, (0 2 2)
- 26.6°, intensity 60, (2 1 -1)
- 27.7°, intensity 48, (1 1 2)
- 28.6°, intensity 41, (1 2 -3)
- 44.3°, intensity 40, (1 4 -1)

Cell and atoms:
```
data_Sr2CaI6
_space_group_name_H-M_alt 'P 1 21/c 1'
_space_group_IT_number 14
_cell_length_a 7.6585
_cell_length_b 8.4912
_cell_length_c 13.8704
_cell_angle_alpha 90.00
_cell_angle_beta 122.85
_cell_angle_gamma 90.00
loop_
_space_group_symop_operation_xyz
'x,y,z'
'-x,-y,-z'
'-x,y+1/2,-z+1/2'
'x,-y+1/2,z+1/2'
loop_
_atom_site_label
_atom_site_type_symbol
_atom_site_fract_x
_atom_site_fract_y
_atom_site_fract_z
_atom_site_occupancy
Sr1 Sr 0.2014 0.1075 0.2524 1
Ca1 Ca 0.5000 0.0000 0.0000 1
I1 I 0.0948 0.1806 0.9244 1
I2 I 0.2568 0.6819 0.9323 1
I3 I 0.3992 0.0469 0.7502 1
```